# DySi2Ir5
Theoretical powder diffractogram, Cu Kα X-rays. Input: DFT lattice parameters and positions (PBE).
No peak broadening, texture or thermal motion is included.

Peak list (10 most intense, 15 to 90 degrees two-theta, sorted by position)
index	2theta	d [Å]	I_rel
0 1 1	15.8	5.601	20
0 2 2	32.0	2.801	24
1 2 1	36.1	2.486	100
1 0 3	36.4	2.469	96
0 2 4	46.0	1.973	66
2 0 0	47.0	1.935	30
0 3 3	48.8	1.867	13
0 4 0	53.2	1.723	15
2 2 4	67.9	1.381	28
1 2 7	79.0	1.212	18

Cell and atoms:
abc: 3.8698 6.8892 9.6212
angles: 90.00 90.00 90.00
Space group Immm (No. 71)
Unique sites:
Dy 0.0000 0.0000 0.0000 (multiplicity 2)
Si 0.0000 0.5000 0.2456 (multiplicity 4)
Ir 0.0000 0.2012 0.3567 (multiplicity 8)
Ir 0.0000 0.5000 0.0000 (multiplicity 2)